Entry 1:
GaCu7Pd12: simulated powder diffraction line list (CuKα), based on a cell relaxed with GGA-PBE.
Intensities are scaled so that the largest is 100.

Structure:
a = 10.9104 Å, b = 10.9104 Å, c = 8.4226 Å
α = 90.00°, β = 90.00°, γ = 120.00°
Space group R-3 (No. 148, hexagonal axes)
Unique sites:
Ga 0.0000 0.0000 0.0000 [3 per cell]
Cu 0.0000 0.0000 0.5000 [3 per cell]
Cu 0.0634 0.4997 0.6186 [18 per cell]
Pd 0.0175 0.2579 0.5270 [18 per cell]
Pd 0.0533 0.1679 0.2395 [18 per cell]

Principal peaks in the range 10 to 80 degrees two-theta, sorted by position:
| d (Å) | 2theta | I (rel.) |
| --- | --- | --- |
| 2.498 | 35.9 | 39.6 |
| 2.274 | 39.6 | 100.0 |
| 2.225 | 40.5 | 63.9 |
| 2.097 | 43.1 | 73.7 |
| 2.061 | 43.9 | 87.8 |
| 2.055 | 44.1 | 41.3 |
| 1.956 | 46.4 | 22.2 |
| 1.927 | 47.2 | 13.2 |
| 1.330 | 70.8 | 14.0 |
| 1.251 | 76.1 | 13.3 |

=====

Entry 2:
GaCuPd5: simulated powder diffraction line list (CuKα), based on a cell relaxed with GGA-PBE.
Intensities are scaled so that the largest is 100.

Structure:
a = 6.980 Å, b = 5.686 Å, c = 10.982 Å
α = 90.00°, β = 90.00°, γ = 90.00°
Space group Cmcm (No. 63)
Unique sites:
Ga 0.000 0.000 0.000 [4 per cell]
Cu 0.000 0.375 0.250 [4 per cell]
Pd 0.000 0.059 0.750 [4 per cell]
Pd 0.208 0.357 0.611 [16 per cell]

Principal peaks in the range 10 to 80 degrees two-theta, sorted by position:
| d (Å) | 2theta | I (rel.) |
| --- | --- | --- |
| 2.945 | 30.3 | 10.7 |
| 2.749 | 32.6 | 9.0 |
| 2.330 | 38.6 | 14.2 |
| 2.245 | 40.2 | 44.5 |
| 2.204 | 40.9 | 9.2 |
| 2.159 | 41.8 | 100.0 |
| 2.153 | 42.0 | 15.3 |
| 1.830 | 49.8 | 11.4 |
| 1.296 | 73.0 | 10.5 |
| 1.278 | 74.2 | 13.6 |

=====

Entry 3:
GaCu2Pd7: simulated powder diffraction line list (CuKα), based on a cell relaxed with GGA-PBE.
Intensities are scaled so that the largest is 100.

Structure:
a = 7.257 Å, b = 12.249 Å, c = 4.254 Å
α = 90.00°, β = 90.00°, γ = 90.00°
Space group Cmmm (No. 65)
Unique sites:
Ga 0.000 0.000 0.000 [2 per cell]
Cu 0.000 0.300 0.500 [4 per cell]
Pd 0.000 0.200 0.000 [4 per cell]
Pd 0.000 0.500 0.500 [2 per cell]
Pd 0.186 0.111 0.500 [8 per cell]

Principal peaks in the range 10 to 80 degrees two-theta, sorted by position:
| d (Å) | 2theta | I (rel.) |
| --- | --- | --- |
| 6.243 | 14.2 | 26.4 |
| 4.254 | 20.9 | 58.7 |
| 3.515 | 25.3 | 24.7 |
| 2.761 | 32.4 | 29.7 |
| 2.485 | 36.1 | 29.3 |
| 2.340 | 38.5 | 52.2 |
| 2.127 | 42.5 | 55.3 |
| 2.072 | 43.7 | 78.4 |
| 2.038 | 44.5 | 100.0 |
| 1.574 | 58.7 | 29.6 |